[1]
This entry pairs a crystal structure of LiGdTe with its computed XRD peak list. Radiation: Cu Kα, 1.54184 Å. Structure: the PBE geometry in OQMD.
No peak broadening, texture or thermal motion is included.

abc: 6.928 6.928 6.928
angles: 90.00 90.00 90.00
Atoms (fractional coordinates):
Li 0.000 0.000 0.000
Li 0.000 0.500 0.500
Li 0.500 0.000 0.500
Li 0.500 0.500 0.000
Gd 0.000 0.000 0.500
Gd 0.000 0.500 0.000
Gd 0.500 0.000 0.000
Gd 0.500 0.500 0.500
Te 0.250 0.250 0.750
Te 0.250 0.750 0.250
Te 0.750 0.250 0.250
Te 0.750 0.750 0.750

Peak list (12 most intense, 2θ = 10–90°, by intensity)
- 2θ = 22.22°, I = 100
- 2θ = 36.69°, I = 88
- 2θ = 43.31°, I = 52
- 2θ = 66.06°, I = 31
- 2θ = 58.03°, I = 22
- 2θ = 70.64°, I = 16
- 2θ = 82.34°, I = 16
- 2θ = 52.86°, I = 15
- 2θ = 89.45°, I = 14
- 2θ = 78.02°, I = 10
- 2θ = 25.72°, I = 2
- 2θ = 59.68°, I = 1

***

[2]
This entry pairs a crystal structure of Gd2Lu with its computed XRD peak list. Radiation: Cu Kα, 1.54184 Å. Structure: the PBE geometry in OQMD.
No peak broadening, texture or thermal motion is included.

abc: 9.763 9.763 9.763
angles: 60.00 60.00 60.00
Atoms (fractional coordinates):
Gd 0.000 0.000 0.000
Gd 0.000 0.000 0.500
Gd 0.000 0.500 0.000
Gd 0.500 0.000 0.000
Lu 0.125 0.125 0.125
Lu 0.875 0.875 0.875

Peak list (12 most intense, 2θ = 10–90°, by intensity)
- 2θ = 11.10°, I = 100
- 2θ = 28.17°, I = 35
- 2θ = 38.58°, I = 31
- 2θ = 36.83°, I = 26
- 2θ = 22.31°, I = 26
- 2θ = 18.17°, I = 20
- 2θ = 47.00°, I = 18
- 2θ = 43.48°, I = 14
- 2θ = 61.16°, I = 12
- 2θ = 31.75°, I = 10
- 2θ = 66.34°, I = 9
- 2θ = 79.45°, I = 9

***

[3]
This entry pairs a crystal structure of Gd2LuMg2 with its computed XRD peak list. Radiation: Cu Kα, 1.54184 Å. Structure: the PBE geometry in OQMD.
No peak broadening, texture or thermal motion is included.

abc: 5.127 16.344 3.391
angles: 90.00 90.00 90.00
Atoms (fractional coordinates):
Gd 0.000 0.110 0.000
Gd 0.000 0.890 0.000
Gd 0.500 0.390 0.000
Gd 0.500 0.610 0.000
Lu 0.000 0.500 0.500
Lu 0.500 0.000 0.500
Mg 0.000 0.300 0.500
Mg 0.000 0.700 0.500
Mg 0.500 0.200 0.500
Mg 0.500 0.800 0.500

Peak list (12 most intense, 2θ = 10–90°, by intensity)
- 2θ = 32.12°, I = 100
- 2θ = 32.49°, I = 72
- 2θ = 10.83°, I = 60
- 2θ = 34.37°, I = 52
- 2θ = 23.83°, I = 45
- 2θ = 49.87°, I = 36
- 2θ = 35.01°, I = 31
- 2θ = 60.60°, I = 22
- 2θ = 56.27°, I = 21
- 2θ = 64.53°, I = 20
- 2θ = 42.57°, I = 17
- 2θ = 60.98°, I = 16

***

[4]
This entry pairs a crystal structure of GdLuNO with its computed XRD peak list. Radiation: Cu Kα, 1.54184 Å. Structure: the PBE geometry in OQMD.
No peak broadening, texture or thermal motion is included.

abc: 4.803 3.937 6.829
angles: 90.00 90.00 90.00
Atoms (fractional coordinates):
Gd 0.250 0.000 0.164
Gd 0.750 0.000 0.836
Lu 0.250 0.500 0.666
Lu 0.750 0.500 0.334
N 0.250 0.500 0.344
N 0.750 0.500 0.656
O 0.250 0.000 0.809
O 0.750 0.000 0.191

Peak list (12 most intense, 2θ = 10–90°, by intensity)
- 2θ = 32.18°, I = 100
- 2θ = 26.12°, I = 42
- 2θ = 46.08°, I = 35
- 2θ = 60.82°, I = 30
- 2θ = 37.45°, I = 21
- 2θ = 57.31°, I = 21
- 2θ = 46.23°, I = 17
- 2θ = 64.27°, I = 15
- 2θ = 76.45°, I = 12
- 2θ = 85.41°, I = 8
- 2θ = 82.66°, I = 7
- 2θ = 76.54°, I = 6

***

[5]
This entry pairs a crystal structure of GdLuNO with its computed XRD peak list. Radiation: Cu Kα, 1.54184 Å. Structure: the PBE geometry in OQMD.
No peak broadening, texture or thermal motion is included.

abc: 7.978 6.580 4.860
angles: 90.00 90.00 90.00
Atoms (fractional coordinates):
Gd 0.124 0.068 0.250
Gd 0.124 0.432 0.750
Gd 0.876 0.568 0.250
Gd 0.876 0.932 0.750
Lu 0.377 0.586 0.250
Lu 0.377 0.914 0.750
Lu 0.623 0.086 0.250
Lu 0.623 0.414 0.750
N 0.382 0.577 0.750
N 0.382 0.923 0.250
N 0.618 0.077 0.750
N 0.618 0.423 0.250
O 0.144 0.089 0.750
O 0.144 0.411 0.250
O 0.856 0.589 0.750
O 0.856 0.911 0.250

Peak list (12 most intense, 2θ = 10–90°, by intensity)
- 2θ = 32.06°, I = 100
- 2θ = 32.87°, I = 40
- 2θ = 26.12°, I = 35
- 2θ = 37.00°, I = 32
- 2θ = 47.29°, I = 30
- 2θ = 61.52°, I = 27
- 2θ = 27.10°, I = 22
- 2θ = 57.24°, I = 18
- 2θ = 45.48°, I = 17
- 2θ = 45.85°, I = 15
- 2θ = 63.59°, I = 15
- 2θ = 60.01°, I = 15

***

[6]
This entry pairs a crystal structure of GdLuNb3 with its computed XRD peak list. Radiation: Cu Kα, 1.54184 Å. Structure: the PBE geometry in OQMD.
No peak broadening, texture or thermal motion is included.

abc: 6.732 6.732 6.235
angles: 90.00 90.00 120.00
Atoms (fractional coordinates):
Gd 0.000 0.000 0.000
Gd 0.000 0.000 0.500
Lu 0.667 0.333 0.000
Lu 0.667 0.333 0.500
Nb 0.110 0.464 0.250
Nb 0.110 0.646 0.750
Nb 0.354 0.464 0.750
Nb 0.354 0.890 0.250
Nb 0.536 0.646 0.250
Nb 0.536 0.890 0.750

Peak list (12 most intense, 2θ = 10–90°, by intensity)
- 2θ = 32.57°, I = 100
- 2θ = 39.39°, I = 89
- 2θ = 26.48°, I = 75
- 2θ = 40.96°, I = 49
- 2θ = 74.59°, I = 40
- 2θ = 43.56°, I = 40
- 2θ = 30.67°, I = 38
- 2θ = 55.74°, I = 32
- 2θ = 62.74°, I = 30
- 2θ = 30.17°, I = 26
- 2θ = 46.74°, I = 18
- 2θ = 61.31°, I = 14